1.
Diffraction record for CaGa6Ag6. The PXRD pattern is simulated, not measured: it uses DFT lattice parameters and positions (PBE) and Cu Kα.
Kinematic intensities with the Lorentz-polarization factor, no thermal factor.

Structure:
```
CaGa6Ag6
1.0
-2.7351 4.6563 4.7322
2.7351 -4.6563 4.7322
2.7351 4.6563 -4.7322
Ca Ga Ag
1 6 6
Direct
0.0000 0.0000 0.0000 Ca
0.0000 0.0000 0.5000 Ga
0.0000 0.5000 0.0000 Ga
0.2142 0.5000 0.7142 Ga
0.5000 0.0000 0.0000 Ga
0.5000 0.5000 0.5000 Ga
0.7858 0.5000 0.2858 Ga
0.2148 0.7148 0.5000 Ag
0.3452 0.0000 0.3452 Ag
0.3480 0.3480 0.0000 Ag
0.6520 0.6520 0.0000 Ag
0.6548 0.0000 0.6548 Ag
0.7852 0.2852 0.5000 Ag
```

Largest 6 diffraction maxima, by angle, 10° ≤ 2θ ≤ 90°:
32.8°, rel. 55.8; 38.0°, rel. 39.2; 38.2°, rel. 68.0; 38.4°, rel. 42.7; 42.8°, rel. 100.0; 43.3°, rel. 43.8

---

2.
Diffraction record for Ca2Ga3AgGe4. The PXRD pattern is simulated, not measured: it uses DFT lattice parameters and positions (PBE) and Cu Kα.
Kinematic intensities with the Lorentz-polarization factor, no thermal factor.

Structure:
```
Ca2Ga3AgGe4
1.0
4.5618 0.0000 0.0000
0.0000 4.5618 0.0000
0.0000 0.0000 10.3279
Ca Ga Ag Ge
2 3 1 4
Direct
0.0000 0.5000 0.2435 Ca
0.5000 0.0000 0.7565 Ca
0.0000 0.0000 0.0000 Ga
0.0000 0.5000 0.6269 Ga
0.5000 0.0000 0.3731 Ga
0.5000 0.5000 0.0000 Ag
0.0000 0.0000 0.5000 Ge
0.0000 0.5000 0.8662 Ge
0.5000 0.0000 0.1338 Ge
0.5000 0.5000 0.5000 Ge
```

Largest 6 diffraction maxima, by angle, 10° ≤ 2θ ≤ 90°:
17.2°, rel. 32.8; 21.3°, rel. 28.1; 32.6°, rel. 39.2; 32.7°, rel. 100.0; 39.5°, rel. 78.5; 45.0°, rel. 63.1

---

3.
Diffraction record for LiCa2Ga3Ag12. The PXRD pattern is simulated, not measured: it uses DFT lattice parameters and positions (PBE) and Cu Kα.
Kinematic intensities with the Lorentz-polarization factor, no thermal factor.

Structure:
```
LiCa2Ga3Ag12
1.0
4.8054 2.7744 4.5396
-4.8054 2.7744 4.5396
0.0000 -5.5488 4.5396
Li Ca Ga Ag
1 2 3 12
Direct
0.0000 0.0000 0.0000 Li
0.2854 0.2854 0.2854 Ca
0.7146 0.7146 0.7146 Ca
0.0000 0.0000 0.5000 Ga
0.0000 0.5000 0.0000 Ga
0.5000 0.0000 0.0000 Ga
0.1280 0.5909 0.5909 Ag
0.1911 0.1911 0.7048 Ag
0.1911 0.7048 0.1911 Ag
0.2952 0.8089 0.8089 Ag
0.4091 0.4091 0.8720 Ag
0.4091 0.8720 0.4091 Ag
0.5909 0.1280 0.5909 Ag
0.5909 0.5909 0.1280 Ag
0.7048 0.1911 0.1911 Ag
0.8089 0.2952 0.8089 Ag
0.8089 0.8089 0.2952 Ag
0.8720 0.4091 0.4091 Ag
```

Largest 6 diffraction maxima, by angle, 10° ≤ 2θ ≤ 90°:
18.5°, rel. 40.4; 37.4°, rel. 100.0; 39.5°, rel. 86.3; 55.6°, rel. 28.7; 67.5°, rel. 14.2; 68.9°, rel. 28.6

---

4.
Diffraction record for CaMg2Ga2Ag2. The PXRD pattern is simulated, not measured: it uses DFT lattice parameters and positions (PBE) and Cu Kα.
Kinematic intensities with the Lorentz-polarization factor, no thermal factor.

Structure:
```
CaMg2Ga2Ag2
1.0
2.2884 1.3212 8.2529
-2.2884 1.3212 8.2529
0.0000 -2.6424 8.2529
Ca Mg Ga Ag
1 2 2 2
Direct
0.0000 0.0000 0.0000 Ca
0.1333 0.1333 0.1333 Mg
0.8667 0.8667 0.8667 Mg
0.4107 0.4107 0.4107 Ga
0.5893 0.5893 0.5893 Ga
0.2494 0.2494 0.2494 Ag
0.7506 0.7506 0.7506 Ag
```

Largest 6 diffraction maxima, by angle, 10° ≤ 2θ ≤ 90°:
21.5°, rel. 70.7; 28.9°, rel. 27.6; 36.8°, rel. 44.2; 39.4°, rel. 100.0; 45.3°, rel. 59.1; 60.4°, rel. 31.5

---

5.
Diffraction record for CaGaAgPd. The PXRD pattern is simulated, not measured: it uses DFT lattice parameters and positions (PBE) and Cu Kα.
Kinematic intensities with the Lorentz-polarization factor, no thermal factor.

Structure:
```
CaGaAgPd
1.0
0.0000 3.3671 3.3671
3.3671 0.0000 3.3671
3.3671 3.3671 0.0000
Ca Ga Ag Pd
1 1 1 1
Direct
0.0000 0.0000 0.0000 Ca
0.5000 0.5000 0.5000 Ga
0.7500 0.7500 0.7500 Ag
0.2500 0.2500 0.2500 Pd
```

Largest 6 diffraction maxima, by angle, 10° ≤ 2θ ≤ 90°:
26.5°, rel. 12.6; 37.8°, rel. 100.0; 54.5°, rel. 16.6; 61.6°, rel. 4.6; 68.2°, rel. 32.7; 80.7°, rel. 10.1

---

6.
Diffraction record for CaGa3AgPd. The PXRD pattern is simulated, not measured: it uses DFT lattice parameters and positions (PBE) and Cu Kα.
Kinematic intensities with the Lorentz-polarization factor, no thermal factor.

Structure:
```
CaGa3AgPd
1.0
2.9869 -6.5775 0.0000
2.9869 6.5775 0.0000
0.0000 0.0000 5.9976
Ca Ga Ag Pd
2 6 2 2
Direct
0.2057 0.7943 0.7500 Ca
0.7943 0.2057 0.2500 Ca
0.2138 0.2138 0.0000 Ga
0.2138 0.2138 0.5000 Ga
0.3653 0.6347 0.2500 Ga
0.6347 0.3653 0.7500 Ga
0.7862 0.7862 0.0000 Ga
0.7862 0.7862 0.5000 Ga
0.1594 0.8406 0.2500 Ag
0.8406 0.1594 0.7500 Ag
0.4146 0.5854 0.7500 Pd
0.5854 0.4146 0.2500 Pd
```

Largest 6 diffraction maxima, by angle, 10° ≤ 2θ ≤ 90°:
13.5°, rel. 40.7; 20.0°, rel. 31.3; 37.3°, rel. 34.6; 40.4°, rel. 50.8; 40.8°, rel. 100.0; 42.7°, rel. 90.5

---

7.
Diffraction record for CaTlGaAg. The PXRD pattern is simulated, not measured: it uses DFT lattice parameters and positions (PBE) and Cu Kα.
Kinematic intensities with the Lorentz-polarization factor, no thermal factor.

Structure:
```
CaTlGaAg
1.0
0.0000 3.5765 3.5765
3.5765 0.0000 3.5765
3.5765 3.5765 0.0000
Ca Tl Ga Ag
1 1 1 1
Direct
0.0000 0.0000 0.0000 Ca
0.7500 0.7500 0.7500 Tl
0.2500 0.2500 0.2500 Ga
0.5000 0.5000 0.5000 Ag
```

Largest 6 diffraction maxima, by angle, 10° ≤ 2θ ≤ 90°:
21.5°, rel. 26.1; 35.5°, rel. 100.0; 41.9°, rel. 14.5; 51.1°, rel. 17.4; 63.7°, rel. 35.3; 85.9°, rel. 15.5

---

8.
Diffraction record for CaGdAg4. The PXRD pattern is simulated, not measured: it uses DFT lattice parameters and positions (PBE) and Cu Kα.
Kinematic intensities with the Lorentz-polarization factor, no thermal factor.

Structure:
```
CaGdAg4
1.0
0.0000 4.0683 4.0683
4.0683 0.0000 4.0683
4.0683 4.0683 0.0000
Ca Gd Ag
1 1 4
Direct
0.0000 0.0000 0.0000 Ca
0.7500 0.7500 0.7500 Gd
0.3747 0.3747 0.3747 Ag
0.3747 0.3747 0.8759 Ag
0.3747 0.8759 0.3747 Ag
0.8759 0.3747 0.3747 Ag
```

Largest 6 diffraction maxima, by angle, 10° ≤ 2θ ≤ 90°:
18.9°, rel. 16.9; 31.1°, rel. 21.8; 36.6°, rel. 100.0; 38.3°, rel. 45.4; 59.0°, rel. 31.9; 64.8°, rel. 26.5